(1)
This entry pairs a crystal structure of Nd2Si2N5 with its theoretical XRD peak list. Radiation: CuKα. Structure: a cell relaxed with PBE.
No peak broadening, texture or thermal motion is included.

Cell and atoms:
Lattice parameters (Å, degrees): 10.286 3.784 5.936 90.00 102.87 90.00
Space group C2/m (No. 12)
One atom of each set of equivalent atoms:
1 Nd 0.108 0.000 0.325 (multiplicity 4)
2 Si 0.151 0.500 0.892 (multiplicity 4)
3 N 0.000 0.500 0.000 (multiplicity 2)
4 N 0.146 0.500 0.596 (multiplicity 4)
5 N 0.175 0.000 0.947 (multiplicity 4)

Most intense lines, 2θ from 10° to 90°, in order of rising 2θ:
d (Å), Position (°2θ), intensity, h k l
4.292, 20.70, 32, 2 0 -1
3.541, 25.15, 49, 1 1 0
3.430, 25.98, 41, 2 0 1
2.920, 30.62, 100, 1 1 1
2.789, 32.09, 44, 2 0 -2
2.509, 35.78, 58, 4 0 0
2.453, 36.63, 53, 3 1 -1
2.332, 38.61, 44, 1 1 -2
1.892, 48.08, 24, 0 2 0
1.754, 52.15, 29, 3 1 2

(2)
This entry pairs a crystal structure of Nd3Sm5N8 with its theoretical XRD peak list. Radiation: CuKα. Structure: a cell relaxed with PBE.
No peak broadening, texture or thermal motion is included.

Cell and atoms:
Lattice parameters (Å, degrees): 7.2257 7.2257 17.7012 90.00 90.00 120.00
Space group R-3m (No. 166, hexagonal axes)
One atom of each set of equivalent atoms:
1 Nd 0.0000 0.5000 0.0000 (multiplicity 9)
2 Sm 0.0000 0.0000 0.0000 (multiplicity 3)
3 Sm 0.0000 0.0000 0.5000 (multiplicity 3)
4 Sm 0.0000 0.5000 0.5000 (multiplicity 9)
5 N 0.0000 0.0000 0.2486 (multiplicity 6)
6 N 0.0017 0.5009 0.7509 (multiplicity 18)

Most intense lines, 2θ from 10° to 90°, in order of rising 2θ:
d (Å), Position (°2θ), intensity, h k l
2.950, 30.30, 100, 2 0 2
2.555, 35.13, 74, 0 2 4
1.806, 50.52, 51, 2 2 0
1.541, 60.05, 46, 2 2 6
1.475, 63.02, 17, 4 0 4
1.277, 74.24, 8, 0 4 8
1.172, 82.24, 19, 4 2 2
1.143, 84.87, 23, 2 4 4

(3)
This entry pairs a crystal structure of Nd3SmN3 with its theoretical XRD peak list. Radiation: CuKα. Structure: a cell relaxed with PBE.
No peak broadening, texture or thermal motion is included.

Cell and atoms:
Lattice parameters (Å, degrees): 5.129 5.129 5.129 90.00 90.00 90.00
Space group Pm-3m (No. 221)
One atom of each set of equivalent atoms:
1 Nd 0.000 0.000 0.500 (multiplicity 3)
2 Sm 0.500 0.500 0.500 (multiplicity 1)
3 N 0.000 0.500 0.500 (multiplicity 3)

Most intense lines, 2θ from 10° to 90°, in order of rising 2θ:
d (Å), Position (°2θ), intensity, h k l
2.961, 30.18, 100, 1 1 1
2.565, 34.99, 68, 2 0 0
1.813, 50.31, 47, 2 2 0
1.547, 59.80, 45, 3 1 1
1.481, 62.75, 16, 2 2 2
1.282, 73.91, 7, 4 0 0
1.177, 81.86, 19, 3 3 1
1.147, 84.47, 21, 4 2 0

(4)
This entry pairs a crystal structure of Nd6SmN5 with its theoretical XRD peak list. Radiation: CuKα. Structure: a cell relaxed with PBE.
No peak broadening, texture or thermal motion is included.

Cell and atoms:
Lattice parameters (Å, degrees): 6.6972 6.6972 12.7294 90.00 90.00 120.00
Space group P6_3/mcm (No. 193)
One atom of each set of equivalent atoms:
1 Nd 0.0000 0.3970 0.1171 (multiplicity 12)
2 Sm 0.0000 0.0000 0.2500 (multiplicity 2)
3 N 0.0000 0.3431 0.7500 (multiplicity 6)
4 N 0.3333 0.6667 0.0000 (multiplicity 4)

Most intense lines, 2θ from 10° to 90°, in order of rising 2θ:
d (Å), Position (°2θ), intensity, h k l
4.287, 20.72, 39, 1 0 2
3.238, 27.54, 88, 1 1 1
3.182, 28.04, 38, 0 0 4
2.900, 30.83, 77, 2 0 0
2.790, 32.08, 37, 1 0 4
2.629, 34.11, 100, 1 1 3
2.307, 39.05, 67, 1 1 4
1.933, 47.00, 35, 3 0 0
1.597, 57.73, 46, 1 1 7
1.436, 64.95, 29, 3 1 4

(5)
This entry pairs a crystal structure of TbNdSmN3 with its theoretical XRD peak list. Radiation: CuKα. Structure: a cell relaxed with PBE.
No peak broadening, texture or thermal motion is included.

Cell and atoms:
Lattice parameters (Å, degrees): 6.136 3.546 9.233 90.00 101.55 90.00
Space group P2_1/m (No. 11)
One atom of each set of equivalent atoms:
1 Tb 0.152 0.250 0.138 (multiplicity 2)
2 Nd 0.344 0.250 0.803 (multiplicity 2)
3 Sm 0.231 0.750 0.454 (multiplicity 2)
4 N 0.037 0.750 0.657 (multiplicity 2)
5 N 0.247 0.750 0.007 (multiplicity 2)
6 N 0.462 0.250 0.327 (multiplicity 2)

Most intense lines, 2θ from 10° to 90°, in order of rising 2θ:
d (Å), Position (°2θ), intensity, h k l
3.041, 29.37, 36, 2 0 -1
3.012, 29.66, 61, 0 0 3
2.942, 30.39, 18, 1 0 -3
2.809, 31.86, 100, 1 1 1
2.660, 33.70, 92, 1 1 -2
2.300, 39.16, 19, 2 0 2
1.773, 51.55, 24, 0 2 0
1.733, 52.82, 31, 3 1 -2
1.532, 60.40, 21, 4 0 -1
1.528, 60.60, 17, 0 2 3

(6)
This entry pairs a crystal structure of Nd2SmZrN4 with its theoretical XRD peak list. Radiation: CuKα. Structure: a cell relaxed with PBE.
No peak broadening, texture or thermal motion is included.

Cell and atoms:
Lattice parameters (Å, degrees): 6.099 3.510 6.121 90.00 109.09 90.00
Space group P2/m (No. 10)
One atom of each set of equivalent atoms:
1 Nd 0.000 0.000 0.000 (multiplicity 1)
2 Nd 0.500 0.500 0.000 (multiplicity 1)
3 Sm 0.000 0.500 0.500 (multiplicity 1)
4 Zr 0.500 0.000 0.500 (multiplicity 1)
5 N 0.262 0.000 0.732 (multiplicity 2)
6 N 0.271 0.500 0.274 (multiplicity 2)

Most intense lines, 2θ from 10° to 90°, in order of rising 2θ:
d (Å), Position (°2θ), intensity, h k l
2.892, 30.92, 34, 0 0 2
2.882, 31.03, 33, 2 0 0
2.868, 31.18, 65, 1 1 -1
2.492, 36.04, 100, 1 1 1
1.772, 51.58, 11, 2 0 2
1.764, 51.83, 23, 1 1 -3
1.759, 51.98, 23, 3 1 -1
1.755, 52.12, 11, 0 2 0
1.506, 61.60, 15, 2 0 -4
1.500, 61.87, 34, 4 0 -2

(7)
This entry pairs a crystal structure of Nd7Sn2N2 with its theoretical XRD peak list. Radiation: CuKα. Structure: a cell relaxed with PBE.
No peak broadening, texture or thermal motion is included.

Cell and atoms:
Lattice parameters (Å, degrees): 11.383 7.851 6.708 90.00 96.57 90.00
Space group C2/m (No. 12)
One atom of each set of equivalent atoms:
1 Nd 0.000 0.000 0.000 (multiplicity 2)
2 Nd 0.069 0.500 0.784 (multiplicity 4)
3 Nd 0.221 0.288 0.226 (multiplicity 8)
4 Sn 0.000 0.180 0.500 (multiplicity 4)
5 N 0.227 0.000 0.031 (multiplicity 4)

Most intense lines, 2θ from 10° to 90°, in order of rising 2θ:
d (Å), Position (°2θ), intensity, h k l
3.225, 27.66, 60, 2 2 0
3.162, 28.22, 24, 3 1 -1
3.042, 29.36, 37, 1 1 -2
3.026, 29.52, 30, 2 0 -2
2.885, 31.00, 28, 1 1 2
2.830, 31.62, 100, 4 0 0
2.737, 32.72, 27, 2 0 2
2.717, 32.97, 22, 4 0 -1
2.400, 37.48, 92, 1 3 -1
1.693, 54.18, 26, 5 3 -1

(8)
This entry pairs a crystal structure of Nd2Ta2N5 with its theoretical XRD peak list. Radiation: CuKα. Structure: a cell relaxed with PBE.
No peak broadening, texture or thermal motion is included.

Cell and atoms:
Lattice parameters (Å, degrees): 11.848 3.458 6.579 90.00 108.99 90.00
Space group C2/m (No. 12)
One atom of each set of equivalent atoms:
1 Nd 0.172 0.000 0.215 (multiplicity 4)
2 Ta 0.059 0.500 0.736 (multiplicity 4)
3 N 0.000 0.500 0.000 (multiplicity 2)
4 N 0.111 0.500 0.451 (multiplicity 4)
5 N 0.155 0.000 0.826 (multiplicity 4)

Most intense lines, 2θ from 10° to 90°, in order of rising 2θ:
d (Å), Position (°2θ), intensity, h k l
3.304, 26.98, 31, 1 1 0
3.111, 28.70, 100, 0 0 2
3.042, 29.36, 97, 1 1 -1
2.937, 30.44, 86, 4 0 -1
2.808, 31.87, 37, 1 1 1
2.537, 35.38, 73, 3 1 0
2.290, 39.34, 44, 4 0 1
2.187, 41.28, 35, 3 1 1
2.008, 45.15, 38, 4 0 -3
1.838, 49.61, 35, 1 1 -3

(9)
This entry pairs a crystal structure of NdTa4N8 with its theoretical XRD peak list. Radiation: CuKα. Structure: a cell relaxed with PBE.
No peak broadening, texture or thermal motion is included.

Cell and atoms:
Lattice parameters (Å, degrees): 14.746 3.185 9.860 90.00 130.78 90.00
Space group Cm (No. 8)
One atom of each set of equivalent atoms:
1 Nd 0.000 0.000 0.000 (multiplicity 2)
2 Ta 0.042 0.000 0.700 (multiplicity 2)
3 Ta 0.047 0.500 0.377 (multiplicity 2)
4 Ta 0.251 0.500 0.061 (multiplicity 2)
5 Ta 0.253 0.000 0.415 (multiplicity 2)
6 N 0.022 0.500 0.558 (multiplicity 2)
7 N 0.050 0.500 0.865 (multiplicity 2)
8 N 0.112 0.500 0.238 (multiplicity 2)
9 N 0.165 0.000 0.508 (multiplicity 2)
10 N 0.223 0.000 0.900 (multiplicity 2)
11 N 0.238 0.000 0.188 (multiplicity 2)
12 N 0.355 0.500 0.557 (multiplicity 2)
13 N 0.430 0.500 0.204 (multiplicity 2)

Most intense lines, 2θ from 10° to 90°, in order of rising 2θ:
d (Å), Position (°2θ), intensity, h k l
4.929, 18.00, 43, 2 0 -2
3.170, 28.15, 48, 2 0 -3
3.135, 28.47, 69, 4 0 -3
2.791, 32.06, 80, 4 0 0
2.671, 33.55, 100, 1 1 1
2.657, 33.74, 72, 3 1 -1
2.608, 34.38, 42, 1 1 -2
2.595, 34.56, 69, 3 1 -2
2.489, 36.09, 46, 0 0 3
1.925, 47.21, 47, 3 1 -4

(10)
This entry pairs a crystal structure of NdTa4N6 with its theoretical XRD peak list. Radiation: CuKα. Structure: a cell relaxed with PBE.
No peak broadening, texture or thermal motion is included.

Cell and atoms:
Lattice parameters (Å, degrees): 3.164 10.336 15.829 90.00 90.00 90.00
Space group Cmcm (No. 63)
One atom of each set of equivalent atoms:
1 Nd 0.000 0.152 0.250 (multiplicity 4)
2 Ta 0.000 0.103 0.629 (multiplicity 8)
3 Ta 0.000 0.354 0.542 (multiplicity 8)
4 N 0.000 0.000 0.000 (multiplicity 4)
5 N 0.000 0.162 0.750 (multiplicity 4)
6 N 0.000 0.263 0.093 (multiplicity 8)
7 N 0.000 0.468 0.654 (multiplicity 8)

Most intense lines, 2θ from 10° to 90°, in order of rising 2θ:
d (Å), Position (°2θ), intensity, h k l
7.914, 11.18, 27, 0 0 2
2.826, 31.66, 32, 1 1 2
2.699, 33.19, 100, 0 2 5
2.625, 34.16, 64, 1 1 3
2.584, 34.72, 39, 0 4 0
2.236, 40.35, 50, 1 3 2
2.132, 42.40, 28, 1 3 3
1.656, 55.49, 21, 1 1 8
1.582, 58.32, 23, 2 0 0
1.365, 68.78, 25, 2 2 5

(11)
This entry pairs a crystal structure of Nd2ThTaN4 with its theoretical XRD peak list. Radiation: CuKα. Structure: a cell relaxed with PBE.
No peak broadening, texture or thermal motion is included.

Cell and atoms:
Lattice parameters (Å, degrees): 6.081 3.443 6.093 90.00 108.28 90.00
Space group P2/m (No. 10)
One atom of each set of equivalent atoms:
1 Nd 0.000 0.000 0.000 (multiplicity 1)
2 Nd 0.500 0.500 0.000 (multiplicity 1)
3 Th 0.000 0.500 0.500 (multiplicity 1)
4 Ta 0.500 0.000 0.500 (multiplicity 1)
5 N 0.275 0.000 0.714 (multiplicity 2)
6 N 0.289 0.500 0.297 (multiplicity 2)

Most intense lines, 2θ from 10° to 90°, in order of rising 2θ:
d (Å), Position (°2θ), intensity, h k l
2.890, 30.94, 100, 0 0 2
2.824, 31.69, 93, 1 1 -1
2.477, 36.27, 88, 1 1 1
2.466, 36.43, 43, 2 0 -2
1.783, 51.24, 16, 2 0 2
1.748, 52.35, 60, 3 1 -1
1.722, 53.20, 15, 0 2 0
1.508, 61.51, 31, 1 1 3
1.479, 62.83, 28, 0 2 2
1.412, 66.19, 15, 2 2 -2

(12)
This entry pairs a crystal structure of Nd2TaWN6 with its theoretical XRD peak list. Radiation: CuKα. Structure: a cell relaxed with PBE.
No peak broadening, texture or thermal motion is included.

Cell and atoms:
Lattice parameters (Å, degrees): 5.664 5.718 9.804 90.00 125.14 90.00
Space group P2_1/c (No. 14)
One atom of each set of equivalent atoms:
1 Nd 0.242 0.040 0.250 (multiplicity 4)
2 Ta 0.500 0.000 0.000 (multiplicity 2)
3 W 0.000 0.000 0.500 (multiplicity 2)
4 N 0.172 0.219 0.959 (multiplicity 4)
5 N 0.240 0.713 0.960 (multiplicity 4)
6 N 0.323 0.015 0.746 (multiplicity 4)

Most intense lines, 2θ from 10° to 90°, in order of rising 2θ:
d (Å), Position (°2θ), intensity, h k l
2.859, 31.29, 24, 0 2 0
2.840, 31.50, 100, 1 1 1
2.832, 31.59, 25, 2 0 -2
2.012, 45.06, 22, 2 2 -2
2.004, 45.24, 12, 0 0 4
1.647, 55.82, 17, 1 3 -3
1.641, 56.03, 10, 0 2 4
1.638, 56.15, 16, 2 0 2
1.635, 56.27, 16, 3 1 -5
1.268, 74.86, 13, 1 1 -7

(13)
This entry pairs a crystal structure of TbNd2N3 with its theoretical XRD peak list. Radiation: CuKα. Structure: a cell relaxed with PBE.
No peak broadening, texture or thermal motion is included.

Cell and atoms:
Lattice parameters (Å, degrees): 3.606 3.606 15.298 90.00 90.00 90.00
Space group I4/mmm (No. 139)
One atom of each set of equivalent atoms:
1 Tb 0.000 0.000 0.000 (multiplicity 2)
2 Nd 0.000 0.000 0.336 (multiplicity 4)
3 N 0.000 0.000 0.162 (multiplicity 4)
4 N 0.000 0.000 0.500 (multiplicity 2)

Most intense lines, 2θ from 10° to 90°, in order of rising 2θ:
d (Å), Position (°2θ), intensity, h k l
7.649, 11.57, 1, 0 0 2
2.944, 30.36, 100, 1 0 3
2.550, 35.20, 74, 1 1 0
1.803, 50.63, 51, 2 0 0
1.538, 60.19, 45, 2 1 3
1.472, 63.16, 17, 2 0 6
1.275, 74.42, 8, 2 2 0
1.170, 82.44, 19, 3 0 3
1.140, 85.08, 22, 3 1 0